No. 1
Structure and computed PXRD pattern of TbPr2NdS4 (a crystal structure in Alexandria, relaxed with PBE; Cu Kα).
Kinematic intensities with the Lorentz-polarization factor, no thermal factor.

Main lines, low angle first (2θ from 10° to 80°):
26.64 deg, I 194; 26.84 deg, I 190; 27.14 deg, I 370; 31.21 deg, I 1000; 44.21 deg, I 124; 44.59 deg, I 243; 44.83 deg, I 240; 45.25 deg, I 117; 55.97 deg, I 123; 65.09 deg, I 116

Cell and atoms:
Unit cell a=7.024 b=4.008 c=7.074 alpha=90.00 beta=108.93 gamma=90.00
Sites, in units of the cell vectors:
Tb 0.000 0.000 0.000
Pr 0.000 0.500 0.500
Pr 0.500 0.000 0.500
Nd 0.500 0.500 0.000
S 0.239 0.500 0.237
S 0.246 0.000 0.758
S 0.754 0.000 0.242
S 0.761 0.500 0.763

No. 2
Structure and computed PXRD pattern of PrNd2Tl3S6 (a crystal structure in Alexandria, relaxed with PBE; Cu Kα).
Kinematic intensities with the Lorentz-polarization factor, no thermal factor.

Main lines, low angle first (2θ from 10° to 80°):
23.75 deg, I 272; 25.77 deg, I 627; 29.27 deg, I 1000; 40.59 deg, I 384; 43.13 deg, I 352; 47.56 deg, I 152; 49.83 deg, I 239; 52.98 deg, I 188; 66.98 deg, I 158; 70.62 deg, I 159

Cell and atoms:
Unit cell a=7.265 b=7.265 c=7.876 alpha=98.84 beta=98.84 gamma=120.00
Sites, in units of the cell vectors:
Pr 0.000 0.000 0.000
Nd 0.333 0.667 0.000
Nd 0.667 0.333 0.000
Tl 0.167 0.833 0.500
Tl 0.500 0.500 0.500
Tl 0.833 0.167 0.500
S 0.068 0.404 0.205
S 0.267 0.267 0.795
S 0.404 0.068 0.205
S 0.596 0.932 0.795
S 0.733 0.733 0.205
S 0.932 0.596 0.795

No. 3
Structure and computed PXRD pattern of PrNdTm4S8 (a crystal structure in Alexandria, relaxed with PBE; Cu Kα).
Kinematic intensities with the Lorentz-polarization factor, no thermal factor.

Main lines, low angle first (2θ from 10° to 80°):
21.87 deg, I 303; 25.66 deg, I 476; 25.90 deg, I 1000; 26.01 deg, I 547; 31.32 deg, I 388; 40.84 deg, I 247; 41.07 deg, I 318; 41.23 deg, I 295; 44.59 deg, I 574; 45.17 deg, I 572

Cell and atoms:
Unit cell a=8.129 b=8.129 c=8.129 alpha=59.18 beta=59.18 gamma=59.18
Sites, in units of the cell vectors:
Pr 0.000 0.000 0.000
Nd 0.374 0.374 0.374
Tm 0.373 0.373 0.871
Tm 0.373 0.871 0.373
Tm 0.747 0.747 0.747
Tm 0.871 0.373 0.373
S 0.127 0.127 0.590
S 0.127 0.590 0.127
S 0.137 0.137 0.137
S 0.139 0.625 0.625
S 0.590 0.127 0.127
S 0.615 0.615 0.615
S 0.625 0.139 0.625
S 0.625 0.625 0.139

No. 4
Structure and computed PXRD pattern of PrNdTh2Sb4 (a crystal structure in Alexandria, relaxed with PBE; Cu Kα).
Kinematic intensities with the Lorentz-polarization factor, no thermal factor.

Main lines, low angle first (2θ from 10° to 80°):
24.09 deg, I 76; 27.89 deg, I 1000; 39.86 deg, I 774; 49.32 deg, I 210; 49.41 deg, I 69; 57.64 deg, I 132; 65.20 deg, I 302; 65.30 deg, I 60; 72.32 deg, I 157; 72.43 deg, I 111

Cell and atoms:
Unit cell a=7.830 b=4.528 c=7.838 alpha=90.00 beta=109.57 gamma=90.00
Sites, in units of the cell vectors:
Pr 0.000 0.000 0.000
Nd 0.000 0.500 0.500
Th 0.500 0.000 0.500
Th 0.500 0.500 0.000
Sb 0.252 0.000 0.750
Sb 0.253 0.500 0.252
Sb 0.747 0.500 0.748
Sb 0.748 0.000 0.250

No. 5
Structure and computed PXRD pattern of Pr8Nd6Sc (a crystal structure in Alexandria, relaxed with PBE; Cu Kα).
Kinematic intensities with the Lorentz-polarization factor, no thermal factor.

Main lines, low angle first (2θ from 10° to 80°):
29.54 deg, I 611; 30.45 deg, I 1000; 30.59 deg, I 712; 31.62 deg, I 508; 31.81 deg, I 289; 33.88 deg, I 164; 35.67 deg, I 259; 51.61 deg, I 193; 52.27 deg, I 189; 53.56 deg, I 269

Cell and atoms:
Unit cell a=8.874 b=8.874 c=8.874 alpha=63.47 beta=63.47 gamma=63.47
Sites, in units of the cell vectors:
Pr 0.078 0.078 0.078
Pr 0.216 0.256 0.613
Pr 0.256 0.613 0.216
Pr 0.387 0.784 0.744
Pr 0.613 0.216 0.256
Pr 0.744 0.387 0.784
Pr 0.784 0.744 0.387
Pr 0.922 0.922 0.922
Nd 0.043 0.739 0.597
Nd 0.261 0.403 0.957
Nd 0.403 0.957 0.261
Nd 0.597 0.043 0.739
Nd 0.739 0.597 0.043
Nd 0.957 0.261 0.403
Sc 0.500 0.500 0.500

No. 6
Structure and computed PXRD pattern of PrNdSc (a crystal structure in Alexandria, relaxed with PBE; Cu Kα).
Kinematic intensities with the Lorentz-polarization factor, no thermal factor.

Main lines, low angle first (2θ from 10° to 80°):
24.04 deg, I 288; 28.83 deg, I 330; 30.78 deg, I 1000; 31.32 deg, I 719; 33.63 deg, I 548; 34.28 deg, I 407; 39.84 deg, I 330; 53.55 deg, I 275; 62.56 deg, I 256; 66.44 deg, I 196

Cell and atoms:
Unit cell a=20.960 b=3.455 c=5.231 alpha=90.00 beta=90.00 gamma=90.00
Sites, in units of the cell vectors:
Pr 0.000 0.000 0.000
Pr 0.101 0.000 0.500
Pr 0.500 0.500 0.000
Pr 0.601 0.500 0.500
Nd 0.183 0.500 0.000
Nd 0.418 0.000 0.500
Nd 0.683 0.000 0.000
Nd 0.918 0.500 0.500
Sc 0.262 0.000 0.499
Sc 0.339 0.500 0.001
Sc 0.762 0.500 0.499
Sc 0.839 0.000 0.001

No. 7
Structure and computed PXRD pattern of Pr2Nd4Sc (a crystal structure in Alexandria, relaxed with PBE; Cu Kα).
Kinematic intensities with the Lorentz-polarization factor, no thermal factor.

Main lines, low angle first (2θ from 10° to 80°):
14.59 deg, I 36; 30.16 deg, I 1000; 34.97 deg, I 504; 50.25 deg, I 183; 50.33 deg, I 178; 59.72 deg, I 215; 59.82 deg, I 210; 62.68 deg, I 92; 62.81 deg, I 30; 73.81 deg, I 37

Cell and atoms:
Unit cell a=6.286 b=8.103 c=9.615 alpha=89.92 beta=89.97 gamma=74.99
Sites, in units of the cell vectors:
Pr 0.000 0.000 0.000
Pr 0.136 0.081 0.362
Pr 0.289 0.145 0.717
Pr 0.847 0.437 0.145
Nd 0.000 0.501 0.500
Nd 0.136 0.581 0.862
Nd 0.289 0.645 0.217
Nd 0.427 0.713 0.575
Nd 0.428 0.214 0.075
Nd 0.708 0.867 0.287
Nd 0.709 0.368 0.787
Nd 0.847 0.936 0.645
Sc 0.568 0.291 0.431
Sc 0.568 0.790 0.931

No. 8
Structure and computed PXRD pattern of Pr5Nd12Sc2 (a crystal structure in Alexandria, relaxed with PBE; Cu Kα).
Kinematic intensities with the Lorentz-polarization factor, no thermal factor.

Main lines, low angle first (2θ from 10° to 80°):
26.42 deg, I 182; 27.91 deg, I 378; 29.09 deg, I 619; 29.45 deg, I 367; 30.01 deg, I 950; 30.27 deg, I 289; 30.41 deg, I 1000; 30.78 deg, I 244; 31.25 deg, I 268; 44.98 deg, I 263

Cell and atoms:
Unit cell a=10.122 b=10.122 c=9.578 alpha=110.41 beta=110.41 gamma=46.94
Sites, in units of the cell vectors:
Pr 0.000 0.000 0.000
Pr 0.227 0.227 0.723
Pr 0.309 0.309 0.304
Pr 0.691 0.691 0.696
Pr 0.773 0.773 0.277
Nd 0.037 0.037 0.677
Nd 0.073 0.633 0.627
Nd 0.094 0.604 0.025
Nd 0.367 0.927 0.373
Nd 0.396 0.906 0.975
Nd 0.479 0.479 0.820
Nd 0.521 0.521 0.180
Nd 0.604 0.094 0.025
Nd 0.633 0.073 0.627
Nd 0.906 0.396 0.975
Nd 0.927 0.367 0.373
Nd 0.963 0.963 0.323
Sc 0.331 0.669 0.500
Sc 0.669 0.331 0.500

No. 9
Structure and computed PXRD pattern of Pr2Nd5Sc (a crystal structure in Alexandria, relaxed with PBE; Cu Kα).
Kinematic intensities with the Lorentz-polarization factor, no thermal factor.

Main lines, low angle first (2θ from 10° to 80°):
30.08 deg, I 1000; 34.77 deg, I 341; 35.08 deg, I 163; 49.92 deg, I 60; 50.06 deg, I 61; 50.23 deg, I 233; 59.46 deg, I 283; 59.87 deg, I 132; 62.47 deg, I 59; 62.59 deg, I 60

Cell and atoms:
Unit cell a=10.231 b=14.615 c=3.644 alpha=90.00 beta=90.00 gamma=90.00
Sites, in units of the cell vectors:
Pr 0.000 0.249 0.000
Pr 0.000 0.751 0.000
Pr 0.500 0.251 0.000
Pr 0.500 0.749 0.000
Nd 0.000 0.000 0.000
Nd 0.241 0.379 0.500
Nd 0.241 0.621 0.500
Nd 0.259 0.121 0.500
Nd 0.259 0.879 0.500
Nd 0.500 0.500 0.000
Nd 0.741 0.121 0.500
Nd 0.741 0.879 0.500
Nd 0.759 0.379 0.500
Nd 0.759 0.621 0.500
Sc 0.000 0.500 0.000
Sc 0.500 0.000 0.000

No. 10
Structure and computed PXRD pattern of Pr8Nd3Sc (a crystal structure in Alexandria, relaxed with PBE; Cu Kα).
Kinematic intensities with the Lorentz-polarization factor, no thermal factor.

Main lines, low angle first (2θ from 10° to 80°):
23.75 deg, I 834; 25.22 deg, I 859; 28.56 deg, I 813; 30.45 deg, I 774; 32.19 deg, I 434; 35.57 deg, I 1000; 42.24 deg, I 513; 43.77 deg, I 475; 57.49 deg, I 303; 67.96 deg, I 293

Cell and atoms:
Unit cell a=8.575 b=8.575 c=8.575 alpha=117.95 beta=117.95 gamma=93.59
Sites, in units of the cell vectors:
Pr 0.118 0.118 0.749
Pr 0.223 0.223 0.480
Pr 0.257 0.777 0.000
Pr 0.369 0.369 0.251
Pr 0.631 0.882 0.000
Pr 0.743 0.743 0.520
Pr 0.777 0.257 0.000
Pr 0.882 0.631 0.000
Nd 0.250 0.750 0.500
Nd 0.500 0.500 0.000
Nd 0.750 0.250 0.500
Sc 0.000 0.000 0.000

No. 11
Structure and computed PXRD pattern of Pr5Nd6Sc2 (a crystal structure in Alexandria, relaxed with PBE; Cu Kα).
Kinematic intensities with the Lorentz-polarization factor, no thermal factor.

Main lines, low angle first (2θ from 10° to 80°):
27.02 deg, I 1000; 27.46 deg, I 402; 29.52 deg, I 766; 31.12 deg, I 867; 31.25 deg, I 814; 32.18 deg, I 903; 33.83 deg, I 326; 35.40 deg, I 577; 35.86 deg, I 532; 61.30 deg, I 484

Cell and atoms:
Unit cell a=10.970 b=22.993 c=3.559 alpha=90.00 beta=90.00 gamma=90.00
Sites, in units of the cell vectors:
Pr 0.000 0.000 0.000
Pr 0.086 0.252 0.000
Pr 0.168 0.505 0.000
Pr 0.332 0.005 0.000
Pr 0.414 0.752 0.000
Pr 0.500 0.500 0.000
Pr 0.586 0.248 0.000
Pr 0.668 0.995 0.000
Pr 0.832 0.495 0.000
Pr 0.914 0.748 0.000
Nd 0.026 0.386 0.500
Nd 0.141 0.118 0.500
Nd 0.165 0.861 0.000
Nd 0.335 0.361 0.000
Nd 0.359 0.618 0.500
Nd 0.474 0.886 0.500
Nd 0.526 0.114 0.500
Nd 0.641 0.382 0.500
Nd 0.665 0.639 0.000
Nd 0.835 0.139 0.000
Nd 0.859 0.882 0.500
Nd 0.974 0.614 0.500
Sc 0.165 0.730 0.500
Sc 0.335 0.230 0.500
Sc 0.665 0.770 0.500
Sc 0.835 0.270 0.500

No. 12
Structure and computed PXRD pattern of Pr14NdSc (a crystal structure in Alexandria, relaxed with PBE; Cu Kα).
Kinematic intensities with the Lorentz-polarization factor, no thermal factor.

Main lines, low angle first (2θ from 10° to 80°):
14.73 deg, I 10; 20.88 deg, I 8; 25.65 deg, I 8; 28.41 deg, I 7; 29.71 deg, I 1000; 34.43 deg, I 506; 49.49 deg, I 361; 58.79 deg, I 428; 61.68 deg, I 123; 72.59 deg, I 57

Cell and atoms:
Unit cell a=10.426 b=7.364 c=7.364 alpha=90.00 beta=90.00 gamma=90.00
Sites, in units of the cell vectors:
Pr 0.000 0.000 0.000
Pr 0.000 0.499 0.499
Pr 0.000 0.500 0.999
Pr 0.000 0.999 0.500
Pr 0.254 0.746 0.746
Pr 0.255 0.253 0.253
Pr 0.255 0.253 0.746
Pr 0.255 0.746 0.253
Pr 0.500 0.000 0.499
Pr 0.500 0.499 0.000
Pr 0.745 0.253 0.253
Pr 0.745 0.253 0.746
Pr 0.745 0.746 0.253
Pr 0.746 0.746 0.746
Nd 0.500 0.999 0.999
Sc 0.500 0.500 0.500